The following is a calculated powder X-ray diffraction pattern of Ta3Mn8Si. It was derived from a GGA-PBE-relaxed structure, using Cu Kα (weighted mean of Kα1 and Kα2).
No peak broadening, texture or thermal motion is included.

Largest 8 diffraction maxima, in order of rising 2θ, 2θ from 5° to 70°:
| 2theta | I (rel.) |
| --- | --- |
| 11.33 | 17 |
| 21.58 | 25 |
| 24.44 | 31 |
| 31.58 | 30 |
| 37.85 | 62 |
| 41.02 | 100 |
| 44.63 | 87 |
| 45.57 | 58 |

Atomic structure:
a b c (Å): 4.7543 4.7543 7.8103
angles (deg): 90.00 90.00 120.00
Space group P3m1 (No. 156)
Symmetry-distinct sites (fractional):
Ta (0.0000, 0.0000, 0.0000) (multiplicity 1)
Ta (0.0000, 0.0000, 0.3763) (multiplicity 1)
Ta (0.3333, 0.6667, 0.8549) (multiplicity 1)
Mn (0.0144, 0.5072, 0.1865) (multiplicity 3)
Mn (0.3235, 0.1618, 0.6816) (multiplicity 3)
Mn (0.6667, 0.3333, 0.4379) (multiplicity 1)
Mn (0.6667, 0.3333, 0.9426) (multiplicity 1)
Si (0.3333, 0.6667, 0.4971) (multiplicity 1)